(1)
Computed powder XRD pattern of Fe5Ni3 for a wavelength of 1.5418 Å, from a crystal structure in Alexandria, relaxed with PBE.
No peak broadening, texture or thermal motion is included.

abc: 6.1983 5.6422 4.3951
angles: 75.12 61.62 43.26
Atoms (fractional coordinates):
Fe 0.0000 0.0000 0.0000
Fe 0.1253 0.1253 0.3747
Fe 0.3747 0.3747 0.1253
Fe 0.6253 0.6253 0.8747
Fe 0.8747 0.8747 0.6253
Ni 0.2517 0.2517 0.7483
Ni 0.5000 0.5000 0.5000
Ni 0.7483 0.7483 0.2517

The 5 most intense peaks (10° ≤ 2θ ≤ 90°), low angle first:
2θ/deg  intensity
43.8  100
50.7  16
51.2  31
75.0  18
75.3  9

---

(2)
Computed powder XRD pattern of Fe3Ni for a wavelength of 1.5418 Å, from a crystal structure in Alexandria, relaxed with PBE.
No peak broadening, texture or thermal motion is included.

abc: 2.4739 2.4739 7.2244
angles: 90.00 90.00 90.00
Atoms (fractional coordinates):
Fe 0.0000 0.0000 0.0000
Fe 0.5000 0.5000 0.2498
Fe 0.5000 0.5000 0.7502
Ni 0.0000 0.0000 0.5000

The 5 most intense peaks (10° ≤ 2θ ≤ 90°), low angle first:
2θ/deg  intensity
44.4  100
50.5  17
52.3  30
75.7  18
77.1  8

---

(3)
Computed powder XRD pattern of Fe2Ni5 for a wavelength of 1.5418 Å, from a crystal structure in Alexandria, relaxed with PBE.
No peak broadening, texture or thermal motion is included.

abc: 13.8986 13.8986 3.4366
angles: 90.00 90.00 165.65
Atoms (fractional coordinates):
Fe 0.1039 0.8961 0.7500
Fe 0.3224 0.6776 0.7500
Fe 0.6776 0.3224 0.2500
Fe 0.8961 0.1039 0.2500
Ni 0.0332 0.9668 0.2500
Ni 0.1883 0.8117 0.7500
Ni 0.2502 0.7498 0.2500
Ni 0.4058 0.5942 0.7500
Ni 0.4676 0.5324 0.2500
Ni 0.5324 0.4676 0.7500
Ni 0.5942 0.4058 0.2500
Ni 0.7498 0.2502 0.7500
Ni 0.8117 0.1883 0.2500
Ni 0.9668 0.0332 0.7500

The 10 most intense peaks (10° ≤ 2θ ≤ 90°), low angle first:
2θ/deg  intensity
12.8  10
36.9  14
40.4  68
46.1  30
47.6  100
52.7  27
53.3  26
72.6  14
73.1  13
78.3  15

---

(4)
Computed powder XRD pattern of Fe5Ni2 for a wavelength of 1.5418 Å, from a crystal structure in Alexandria, relaxed with PBE.
No peak broadening, texture or thermal motion is included.

abc: 10.0484 10.0484 10.0484
angles: 163.63 163.63 23.23
Atoms (fractional coordinates):
Fe 0.0000 0.0000 0.0000
Fe 0.1454 0.1454 0.0000
Fe 0.4280 0.4280 0.0000
Fe 0.5720 0.5720 0.0000
Fe 0.8546 0.8546 0.0000
Ni 0.2872 0.2872 0.0000
Ni 0.7128 0.7128 0.0000

The 6 most intense peaks (10° ≤ 2θ ≤ 90°), low angle first:
2θ/deg  intensity
44.8  52
45.2  100
65.2  15
66.5  7
82.9  29
83.8  14

---

(5)
Computed powder XRD pattern of Fe7Ni for a wavelength of 1.5418 Å, from a crystal structure in Alexandria, relaxed with PBE.
No peak broadening, texture or thermal motion is included.

abc: 6.4138 6.4138 6.4138
angles: 143.36 143.36 52.79
Atoms (fractional coordinates):
Fe 0.0000 0.0000 0.0000
Fe 0.1253 0.6253 0.5000
Fe 0.2493 0.2493 0.0000
Fe 0.3747 0.8747 0.5000
Fe 0.6253 0.1253 0.5000
Fe 0.7507 0.7507 0.0000
Fe 0.8747 0.3747 0.5000
Ni 0.5000 0.5000 0.0000

The 6 most intense peaks (10° ≤ 2θ ≤ 90°), low angle first:
2θ/deg  intensity
44.8  100
45.0  49
64.9  7
65.5  15
82.4  14
82.8  28

---

(6)
Computed powder XRD pattern of Np2FeNi12P3 for a wavelength of 1.5418 Å, from a crystal structure in Alexandria, relaxed with PBE.
No peak broadening, texture or thermal motion is included.

abc: 6.2046 6.2046 6.2046
angles: 83.14 83.14 83.14
Atoms (fractional coordinates):
Np 0.0957 0.0957 0.0957
Np 0.9043 0.9043 0.9043
Fe 0.5000 0.5000 0.5000
Ni 0.1378 0.1378 0.5571
Ni 0.1378 0.5571 0.1378
Ni 0.1740 0.6843 0.6843
Ni 0.3157 0.3157 0.8260
Ni 0.3157 0.8260 0.3157
Ni 0.4429 0.8622 0.8622
Ni 0.5571 0.1378 0.1378
Ni 0.6843 0.1740 0.6843
Ni 0.6843 0.6843 0.1740
Ni 0.8260 0.3157 0.3157
Ni 0.8622 0.4429 0.8622
Ni 0.8622 0.8622 0.4429
P 0.0000 0.5000 0.5000
P 0.5000 0.0000 0.5000
P 0.5000 0.5000 0.0000

The 10 most intense peaks (10° ≤ 2θ ≤ 90°), low angle first:
2θ/deg  intensity
14.5  79
21.6  26
26.1  24
34.1  41
36.6  39
39.3  29
39.7  54
44.0  100
51.0  42
69.6  23